Structure and calculated XRD peak list of CsSbTeH (a PBE-relaxed structure; Cu Ka).
Lines closer than 0.1° are merged.

Most intense lines, 10° ≤ 2θ ≤ 90°, low angle first:
- d = 6.375 Å, 13.89°, I 16
- d = 3.188 Å, 27.99°, I 31
- d = 2.928 Å, 30.53°, I 100
- d = 2.423 Å, 37.10°, I 15
- d = 2.248 Å, 40.11°, I 12
- d = 1.929 Å, 47.11°, I 15
- d = 1.837 Å, 49.62°, I 13
- d = 1.786 Å, 51.14°, I 23
- d = 1.479 Å, 62.84°, I 12
- d = 1.464 Å, 63.55°, I 12

```
data_CsSbTeH
_chemical_formula_sum 'Cs1 Sb1 Te1 H1'
_cell_length_a 4.497
_cell_length_b 4.846
_cell_length_c 6.375
_cell_angle_alpha 90.00
_cell_angle_beta 90.00
_cell_angle_gamma 90.00
_space_group_name_H-M_alt 'P 1'
_space_group_IT_number 1
loop_
_space_group_symop_operation_xyz
'x,y,z'
loop_
_atom_site_label
_atom_site_type_symbol
_atom_site_fract_x
_atom_site_fract_y
_atom_site_fract_z
_atom_site_occupancy
Cs1 Cs 0.000 0.000 0.000 1
Sb1 Sb 0.000 0.500 0.480 1
Te1 Te 0.500 0.000 0.494 1
H1 H 0.000 0.500 0.754 1
```